Starting from a structure optimized by DFT (PBE), the PXRD pattern of Ce2Cd16Sn was computed for Cu Kα X-rays.
No peak broadening, texture or thermal motion is included.

Atomic structure:
Cell lengths 7.694, 7.694, 7.694 Å; angles 83.52, 83.52, 83.52 degrees
Element x y z (fractional)
Ce  0.000  0.000  0.000
Ce  0.337  0.337  0.337
Cd  0.020  0.020  0.520
Cd  0.020  0.520  0.020
Cd  0.193  0.655  0.655
Cd  0.310  0.310  0.858
Cd  0.310  0.858  0.310
Cd  0.361  0.673  0.980
Cd  0.361  0.980  0.673
Cd  0.520  0.020  0.020
Cd  0.576  0.576  0.576
Cd  0.655  0.193  0.655
Cd  0.655  0.655  0.193
Cd  0.673  0.361  0.980
Cd  0.673  0.980  0.361
Cd  0.858  0.310  0.310
Cd  0.980  0.361  0.673
Cd  0.980  0.673  0.361
Sn  0.777  0.777  0.777

Peak list (12 most intense, 10° ≤ 2θ ≤ 80°, low angle first)
2θ = 30.2°, I 35.5
2θ = 31.5°, I 16.9
2θ = 35.0°, I 46.4
2θ = 35.4°, I 100.0
2θ = 36.6°, I 48.3
2θ = 39.7°, I 54.3
2θ = 40.7°, I 17.0
2θ = 51.5°, I 10.9
2θ = 57.1°, I 16.9
2θ = 62.8°, I 21.0
2θ = 65.0°, I 21.5
2θ = 74.9°, I 13.0


Starting from a structure optimized by DFT (PBE), the PXRD pattern of TmTh3Pb2 was computed for Cu Kα X-rays.
No peak broadening, texture or thermal motion is included.

Atomic structure:
Cell lengths 10.036, 10.036, 10.036 Å; angles 142.06, 54.59, 142.25 degrees
Element x y z (fractional)
Tm  0.250  0.250  0.000
Tm  0.750  0.750  0.000
Th  0.178  0.747  0.925
Th  0.250  0.750  0.500
Th  0.322  0.247  0.568
Th  0.678  0.753  0.432
Th  0.750  0.250  0.500
Th  0.822  0.253  0.075
Pb  0.137  0.242  0.379
Pb  0.363  0.742  0.105
Pb  0.637  0.258  0.895
Pb  0.863  0.758  0.621

Peak list (12 most intense, 10° ≤ 2θ ≤ 80°, low angle first)
2θ = 27.9°, I 31.1
2θ = 29.1°, I 73.9
2θ = 29.3°, I 73.2
2θ = 30.1°, I 60.8
2θ = 34.0°, I 73.3
2θ = 34.2°, I 73.0
2θ = 36.0°, I 50.7
2θ = 39.1°, I 100.0
2θ = 50.1°, I 60.5
2θ = 55.2°, I 26.7
2θ = 67.6°, I 20.6
2θ = 67.8°, I 20.7


Starting from a structure optimized by DFT (PBE), the PXRD pattern of Fe2CoRu was computed for Cu Kα X-rays.
No peak broadening, texture or thermal motion is included.

Atomic structure:
Cell lengths 2.546, 4.105, 4.848 Å; angles 90.00, 100.58, 90.00 degrees
Element x y z (fractional)
Fe  0.000  0.000  0.000
Fe  0.234  0.500  0.751
Co  0.453  0.000  0.516
Ru  0.742  0.500  0.251

Peak list (12 most intense, 10° ≤ 2θ ≤ 80°, low angle first)
2θ = 18.6°, I 5.6
2θ = 21.6°, I 4.6
2θ = 28.7°, I 6.8
2θ = 42.3°, I 3.7
2θ = 43.6°, I 67.0
2θ = 43.9°, I 100.0
2θ = 44.1°, I 33.0
2θ = 47.6°, I 1.8
2θ = 58.1°, I 1.5
2θ = 63.3°, I 10.0
2θ = 64.0°, I 20.2
2θ = 79.8°, I 4.8


Starting from a structure optimized by DFT (PBE), the PXRD pattern of Th3Ge2Rh7 was computed for Cu Kα X-rays.
No peak broadening, texture or thermal motion is included.

Atomic structure:
Cell lengths 13.597, 13.597, 13.597 Å; angles 162.56, 162.56, 24.77 degrees
Element x y z (fractional)
Th  0.000  0.000  0.000
Th  0.174  0.174  0.000
Th  0.826  0.826  0.000
Ge  0.370  0.370  0.000
Ge  0.630  0.630  0.000
Rh  0.081  0.581  0.500
Rh  0.277  0.277  0.000
Rh  0.419  0.919  0.500
Rh  0.500  0.500  0.000
Rh  0.581  0.081  0.500
Rh  0.723  0.723  0.000
Rh  0.919  0.419  0.500

Peak list (12 most intense, 10° ≤ 2θ ≤ 80°, low angle first)
2θ = 27.4°, I 21.0
2θ = 30.7°, I 34.2
2θ = 31.4°, I 16.4
2θ = 33.6°, I 15.4
2θ = 36.9°, I 100.0
2θ = 37.5°, I 26.2
2θ = 43.4°, I 36.5
2θ = 43.9°, I 61.5
2θ = 63.5°, I 24.0
2θ = 63.8°, I 20.2
2θ = 71.7°, I 16.3
2θ = 76.1°, I 24.6


Starting from a structure optimized by DFT (PBE), the PXRD pattern of Y5Cd was computed for Cu Kα X-rays.
No peak broadening, texture or thermal motion is included.

Atomic structure:
Cell lengths 6.467, 6.467, 8.591 Å; angles 111.40, 111.40, 33.73 degrees
Element x y z (fractional)
Y  0.000  0.000  0.000
Y  0.025  0.025  0.450
Y  0.315  0.315  0.162
Y  0.340  0.340  0.612
Y  0.670  0.670  0.806
Cd  0.670  0.670  0.306

Peak list (12 most intense, 10° ≤ 2θ ≤ 80°, low angle first)
2θ = 30.8°, I 45.1
2θ = 31.7°, I 100.0
2θ = 32.0°, I 52.3
2θ = 33.5°, I 89.7
2θ = 42.1°, I 16.4
2θ = 47.7°, I 13.8
2θ = 48.5°, I 16.2
2θ = 55.6°, I 17.4
2θ = 58.6°, I 16.1
2θ = 59.1°, I 20.0
2θ = 59.3°, I 19.6
2θ = 70.4°, I 12.1


Starting from a structure optimized by DFT (PBE), the PXRD pattern of Ac2Tb2Dy7 was computed for Cu Kα X-rays.
No peak broadening, texture or thermal motion is included.

Atomic structure:
Cell lengths 10.648, 10.648, 10.648 Å; angles 159.95, 111.83, 71.87 degrees
Element x y z (fractional)
Ac  0.194  0.194  0.000
Ac  0.806  0.806  0.000
Tb  0.245  0.000  0.245
Tb  0.755  0.000  0.755
Dy  0.000  0.500  0.500
Dy  0.101  0.334  0.767
Dy  0.392  0.892  0.500
Dy  0.434  0.666  0.767
Dy  0.566  0.334  0.233
Dy  0.608  0.108  0.500
Dy  0.899  0.666  0.233

Peak list (12 most intense, 10° ≤ 2θ ≤ 80°, low angle first)
2θ = 26.9°, I 23.5
2θ = 27.2°, I 23.4
2θ = 29.9°, I 38.3
2θ = 31.1°, I 13.9
2θ = 32.4°, I 100.0
2θ = 34.4°, I 15.3
2θ = 34.7°, I 16.5
2θ = 43.7°, I 9.9
2θ = 49.2°, I 10.5
2θ = 54.8°, I 19.7
2θ = 56.2°, I 8.2
2θ = 58.6°, I 11.7


Starting from a structure optimized by DFT (PBE), the PXRD pattern of KPb4Br8 was computed for Cu Kα X-rays.
No peak broadening, texture or thermal motion is included.

Atomic structure:
Cell lengths 9.172, 9.172, 9.172 Å; angles 60.31, 60.31, 60.31 degrees
Element x y z (fractional)
K  0.000  0.000  0.000
Pb  0.000  0.000  0.500
Pb  0.000  0.500  0.000
Pb  0.500  0.000  0.000
Pb  0.500  0.500  0.500
Br  0.237  0.237  0.237
Br  0.238  0.739  0.739
Br  0.261  0.261  0.762
Br  0.261  0.762  0.261
Br  0.739  0.238  0.739
Br  0.739  0.739  0.238
Br  0.762  0.261  0.261
Br  0.763  0.763  0.763

Peak list (12 most intense, 10° ≤ 2θ ≤ 80°, low angle first)
2θ = 11.8°, I 84.9
2θ = 22.6°, I 37.4
2θ = 27.4°, I 100.0
2θ = 36.0°, I 26.7
2θ = 39.1°, I 40.4
2θ = 39.3°, I 34.5
2θ = 41.0°, I 26.4
2θ = 48.4°, I 21.1
2θ = 50.3°, I 13.4
2θ = 63.9°, I 18.4
2θ = 64.2°, I 13.6
2θ = 71.0°, I 12.2


Starting from a structure optimized by DFT (PBE), the PXRD pattern of SbAuN was computed for Cu Kα X-rays.
No peak broadening, texture or thermal motion is included.

Atomic structure:
Cell lengths 12.222, 12.222, 3.158 Å; angles 90.19, 90.19, 21.66 degrees
Element x y z (fractional)
Sb  0.158  0.158  0.497
Sb  0.842  0.842  0.503
Au  0.283  0.283  0.501
Au  0.717  0.717  0.499
N  0.477  0.477  0.000
N  0.523  0.523  0.000

Peak list (12 most intense, 10° ≤ 2θ ≤ 80°, low angle first)
2θ = 26.9°, I 45.5
2θ = 28.3°, I 82.7
2θ = 29.2°, I 97.4
2θ = 32.6°, I 100.0
2θ = 39.0°, I 68.6
2θ = 39.2°, I 41.4
2θ = 40.0°, I 34.0
2θ = 43.6°, I 49.1
2θ = 43.7°, I 49.6
2θ = 48.8°, I 35.0
2θ = 49.0°, I 71.5
2θ = 49.7°, I 44.7


Starting from a structure optimized by DFT (PBE), the PXRD pattern of Rb2LiSiSe4 was computed for Cu Kα X-rays.
No peak broadening, texture or thermal motion is included.

Atomic structure:
Cell lengths 6.841, 6.841, 6.841 Å; angles 105.55, 105.55, 117.63 degrees
Element x y z (fractional)
Rb  0.000  0.500  0.500
Rb  0.500  0.000  0.500
Li  0.000  0.000  0.000
Si  0.500  0.500  0.000
Se  0.140  0.140  0.701
Se  0.438  0.438  0.299
Se  0.562  0.860  0.000
Se  0.860  0.562  0.000

Peak list (12 most intense, 10° ≤ 2θ ≤ 80°, low angle first)
2θ = 16.5°, I 15.0
2θ = 27.2°, I 100.0
2θ = 29.5°, I 47.0
2θ = 30.5°, I 18.2
2θ = 33.3°, I 43.9
2θ = 34.3°, I 48.0
2θ = 40.0°, I 15.8
2θ = 45.6°, I 15.5
2θ = 49.2°, I 13.5
2θ = 51.1°, I 28.3
2θ = 53.6°, I 19.8
2θ = 61.8°, I 14.6


Starting from a structure optimized by DFT (PBE), the PXRD pattern of Na3In4Pd8 was computed for Cu Kα X-rays.
No peak broadening, texture or thermal motion is included.

Atomic structure:
Cell lengths 9.323, 9.323, 9.323 Å; angles 60.00, 60.00, 60.00 degrees
Element x y z (fractional)
Na  0.229  0.229  0.771
Na  0.229  0.771  0.229
Na  0.229  0.771  0.771
Na  0.771  0.229  0.229
Na  0.771  0.229  0.771
Na  0.771  0.771  0.229
In  0.000  0.000  0.000
In  0.000  0.000  0.500
In  0.000  0.500  0.000
In  0.000  0.500  0.500
In  0.500  0.000  0.000
In  0.500  0.000  0.500
In  0.500  0.500  0.000
In  0.500  0.500  0.500
Pd  0.138  0.621  0.621
Pd  0.172  0.172  0.172
Pd  0.172  0.172  0.485
Pd  0.172  0.485  0.172
Pd  0.379  0.379  0.379
Pd  0.379  0.379  0.862
Pd  0.379  0.862  0.379
Pd  0.485  0.172  0.172
Pd  0.515  0.828  0.828
Pd  0.621  0.138  0.621
Pd  0.621  0.621  0.138
Pd  0.621  0.621  0.621
Pd  0.828  0.515  0.828
Pd  0.828  0.828  0.515
Pd  0.828  0.828  0.828
Pd  0.862  0.379  0.379

Peak list (12 most intense, 10° ≤ 2θ ≤ 80°, low angle first)
2θ = 11.6°, I 14.5
2θ = 13.4°, I 23.3
2θ = 23.4°, I 24.5
2θ = 35.4°, I 26.4
2θ = 38.6°, I 100.0
2θ = 40.5°, I 26.3
2θ = 45.1°, I 20.3
2θ = 45.6°, I 33.2
2θ = 67.8°, I 10.4
2θ = 69.9°, I 24.9
2θ = 71.1°, I 10.3
2θ = 74.8°, I 9.9


Starting from a structure optimized by DFT (PBE), the PXRD pattern of Pr5AgHg6 was computed for Cu Kα X-rays.
No peak broadening, texture or thermal motion is included.

Atomic structure:
Cell lengths 9.402, 9.402, 9.402 Å; angles 147.05, 132.45, 59.06 degrees
Element x y z (fractional)
Pr  0.000  0.000  0.000
Pr  0.173  0.673  0.500
Pr  0.344  0.344  0.000
Pr  0.656  0.656  0.000
Pr  0.827  0.327  0.500
Ag  0.500  0.000  0.500
Hg  0.094  0.839  0.255
Hg  0.249  0.500  0.749
Hg  0.415  0.161  0.255
Hg  0.585  0.839  0.745
Hg  0.751  0.500  0.251
Hg  0.906  0.161  0.745

Peak list (12 most intense, 10° ≤ 2θ ≤ 80°, low angle first)
2θ = 23.3°, I 4.1
2θ = 32.8°, I 25.1
2θ = 33.3°, I 100.0
2θ = 33.6°, I 24.8
2θ = 47.7°, I 17.8
2θ = 48.0°, I 9.1
2θ = 59.0°, I 17.9
2θ = 59.4°, I 9.2
2θ = 59.9°, I 28.2
2θ = 70.0°, I 11.4
2θ = 78.9°, I 3.6
2θ = 79.5°, I 7.7